1.
For Ti3VCr2P6O24, DFT lattice parameters and positions (PBE+U) gives the simulated powder XRD pattern in this record (Cu Kα (weighted mean of Kα1 and Kα2)).
Neutral-atom scattering factors, no anomalous dispersion.

Top 8 peaks for 2θ from 15° to 90°, in order of falling intensity:
3.699 Å, 2θ 24.06, I 100; 2.756 Å, 2θ 32.48, I 62; 4.320 Å, 2θ 20.56, I 61; 2.494 Å, 2θ 36.01, I 27; 1.947 Å, 2θ 46.65, I 24; 1.849 Å, 2θ 49.27, I 23; 1.633 Å, 2θ 56.34, I 19; 2.804 Å, 2θ 31.92, I 15

```
36
Lattice="4.320 2.494 7.159 -4.320 2.494 7.159 0.000 -4.988 7.159" Properties=species:S:1:pos:R:3 pbc="T T T"
Ti 0.000 0.000 0.000
Ti 0.000 0.000 4.507
Ti 0.000 0.000 15.229
V 0.000 0.000 10.700
Cr 0.000 0.000 7.626
Cr 0.000 0.000 18.371
P -3.056 0.310 9.404
P -1.259 -2.191 12.993
P 1.259 -2.801 9.404
P -1.268 2.186 12.993
P 1.796 2.491 9.404
P 2.527 0.005 12.993
O -3.512 1.098 8.159
O -0.884 -1.220 5.928
O -2.812 -2.365 12.999
O -3.527 1.072 10.674
O 0.806 -3.591 8.159
O -1.531 0.171 9.299
O -0.614 1.376 5.928
O -0.894 -1.461 11.731
O 0.835 -3.591 10.674
O 0.618 -1.411 9.299
O 1.498 -0.156 5.928
O -0.786 -1.426 14.267
O -0.818 1.505 11.731
O -1.510 -0.183 16.625
O 0.913 1.241 9.299
O -0.842 1.394 14.267
O 1.713 -0.044 11.731
O -0.642 3.618 12.999
O 0.913 -1.216 16.625
O 1.628 0.033 14.267
O 2.707 2.493 8.159
O 3.454 -1.252 12.999
O 0.597 1.399 16.625
O 2.692 2.518 10.674
```

***

2.
For Ti2V3CrP6O24, DFT lattice parameters and positions (PBE+U) gives the simulated powder XRD pattern in this record (Cu Kα (weighted mean of Kα1 and Kα2)).
Neutral-atom scattering factors, no anomalous dispersion.

Top 8 peaks for 2θ from 15° to 90°, in order of falling intensity:
3.661 Å, 2θ 24.31, I 100; 4.347 Å, 2θ 20.43, I 58; 2.675 Å, 2θ 33.50, I 48; 2.510 Å, 2θ 35.77, I 31; 1.897 Å, 2θ 47.95, I 27; 1.643 Å, 2θ 55.96, I 19; 1.830 Å, 2θ 49.81, I 19; 2.819 Å, 2θ 31.75, I 16

```
36
Lattice="4.347 2.510 6.788 -4.347 2.510 6.788 0.000 -5.020 6.788" Properties=species:S:1:pos:R:3 pbc="T T T"
Ti 0.000 0.000 0.000
Ti 0.000 0.000 10.147
V 0.000 0.000 2.834
V 0.000 0.000 7.229
V 0.000 0.000 13.006
Cr 0.000 0.000 17.425
P -1.803 -2.499 8.444
P -3.076 0.280 11.820
P -1.262 2.811 8.444
P 1.296 -2.804 11.820
P 3.065 -0.312 8.444
P 1.781 2.524 11.820
O -2.622 -2.572 9.710
O -0.835 -3.739 8.201
O -3.667 -1.175 12.058
O -1.742 -0.072 6.295
O -3.552 0.971 10.568
O -0.821 -1.273 8.678
O -2.820 2.593 8.201
O 0.933 -1.473 6.295
O 0.935 -3.562 10.568
O -1.521 0.058 11.578
O -0.692 1.347 8.678
O -0.785 -1.535 13.970
O 0.809 1.545 6.295
O 0.711 -1.346 11.578
O 1.513 -0.075 8.678
O -0.916 3.557 9.710
O -0.937 1.447 13.970
O 0.811 1.289 11.578
O 2.851 -2.588 12.058
O 3.539 -0.985 9.710
O 1.722 0.088 13.970
O 3.656 1.146 8.201
O 0.816 3.763 12.058
O 2.617 2.590 10.568
```

***

3.
For Ti3V2CrP6O24, DFT lattice parameters and positions (PBE+U) gives the simulated powder XRD pattern in this record (Cu Kα (weighted mean of Kα1 and Kα2)).
Neutral-atom scattering factors, no anomalous dispersion.

Top 8 peaks for 2θ from 15° to 90°, in order of falling intensity:
3.679 Å, 2θ 24.19, I 100; 4.319 Å, 2θ 20.57, I 67; 2.724 Å, 2θ 32.88, I 62; 2.494 Å, 2θ 36.01, I 29; 1.927 Å, 2θ 47.17, I 24; 1.840 Å, 2θ 49.55, I 24; 1.633 Å, 2θ 56.34, I 19; 2.803 Å, 2θ 31.93, I 16

```
36
Lattice="4.320 2.494 7.018 -4.320 2.494 7.018 0.000 -4.989 7.018" Properties=species:S:1:pos:R:3 pbc="T T T"
Ti 0.000 0.000 0.000
Ti 0.000 0.000 4.418
Ti 0.000 0.000 14.928
V 0.000 0.000 7.453
V 0.000 0.000 18.005
Cr 0.000 0.000 10.466
P -3.042 0.291 9.223
P -1.268 -2.184 12.705
P 1.269 -2.780 9.223
P -1.257 2.190 12.705
P 1.773 2.489 9.223
P 2.525 -0.006 12.705
O -3.511 1.037 7.962
O -0.889 -1.234 5.831
O -2.818 -2.363 12.634
O -3.470 1.063 10.486
O 0.857 -3.559 7.962
O -1.503 0.142 9.089
O -0.624 1.386 5.831
O -0.851 -1.460 11.441
O 0.814 -3.536 10.486
O 0.629 -1.373 9.089
O 1.513 -0.153 5.831
O -0.845 -1.411 13.985
O -0.838 1.467 11.441
O -1.504 -0.145 16.356
O 0.874 1.231 9.089
O -0.799 1.437 13.985
O 1.690 -0.008 11.441
O -0.638 3.621 12.634
O 0.878 -1.230 16.356
O 1.644 -0.026 13.985
O 2.653 2.522 7.962
O 3.455 -1.259 12.634
O 0.626 1.375 16.356
O 2.656 2.473 10.486
```